The following is a calculated powder diffraction line list of Dy8PdRh2. It was derived from a crystal structure in Alexandria, relaxed with GGA-PBE, using copper Kα.
Kinematic intensities with the Lorentz-polarization factor, no thermal factor.

Atomic structure:
a b c (Å): 7.5492 7.5492 5.9587
angles (deg): 99.89 99.89 113.22
Fractional coordinates of all 11 atoms:
Dy 0.0000 0.0000 0.0000
Dy 0.0246 0.2850 0.5853
Dy 0.1453 0.5855 0.1807
Dy 0.2850 0.0246 0.5853
Dy 0.4432 0.7034 0.7841
Dy 0.5855 0.1453 0.1807
Dy 0.7034 0.4432 0.7841
Dy 0.7305 0.7305 0.3635
Pd 0.3635 0.3635 0.0318
Rh 0.0544 0.6732 0.6814
Rh 0.6732 0.0544 0.6814

Principal peaks in the range 2θ from 10° to 90°, in order of rising 2θ:
| 2theta | I/Imax |
| --- | --- |
| 30.69 | 83 |
| 30.87 | 67 |
| 31.42 | 74 |
| 32.52 | 100 |
| 33.53 | 88 |
| 34.74 | 50 |
| 36.48 | 64 |
| 39.33 | 80 |

=====

The following is a calculated powder diffraction line list of Dy5Pd4Rh. It was derived from a crystal structure in Alexandria, relaxed with GGA-PBE, using copper Kα.
Kinematic intensities with the Lorentz-polarization factor, no thermal factor.

Atomic structure:
a b c (Å): 3.4574 3.4574 17.7922
angles (deg): 90.00 90.00 90.00
Fractional coordinates of all 10 atoms:
Dy 0.0000 0.0000 0.0000
Dy 0.0000 0.0000 0.2023
Dy 0.0000 0.0000 0.4055
Dy 0.0000 0.0000 0.5945
Dy 0.0000 0.0000 0.7977
Pd 0.5000 0.5000 0.1008
Pd 0.5000 0.5000 0.3016
Pd 0.5000 0.5000 0.6984
Pd 0.5000 0.5000 0.8992
Rh 0.5000 0.5000 0.5000

Principal peaks in the range 2θ from 10° to 90°, in order of rising 2θ:
| 2theta | I/Imax |
| --- | --- |
| 36.23 | 100 |
| 36.76 | 48 |
| 51.35 | 9 |
| 52.97 | 17 |
| 64.81 | 18 |
| 65.86 | 35 |
| 76.89 | 11 |
| 89.68 | 8 |